No. 1
# HoTmSi2Pt5
Simulated PXRD pattern, Cu Kα X-rays. Input: a DFT-relaxed cell (PBE, Alexandria).

Principal peaks in the range 2θ from 5° to 70°, by angle:
hkl  2theta  Rel. int.
0 0 1  9.90  14.4
0 0 2  19.87  3.8
1 0 1  23.56  4.5
1 0 2  29.31  2.3
1 1 2  36.53  100.0
1 0 3  37.10  3.4
0 0 4  40.38  16.4
1 1 3  43.19  7.4
2 0 0  43.43  34.6
2 0 4  60.79  20.1
2 2 0  63.11  11.6
2 0 5  69.27  3.0

Atomic structure:
```
HoTmSi2Pt5
1.0
4.167 0.000 0.000
0.000 4.167 0.000
0.000 0.000 8.935
Ho Tm Si Pt
1 1 2 5
Direct
0.000 0.000 0.000 Ho
0.000 0.000 0.500 Tm
0.500 0.500 0.370 Si
0.500 0.500 0.630 Si
0.000 0.500 0.235 Pt
0.000 0.500 0.765 Pt
0.500 0.000 0.235 Pt
0.500 0.000 0.765 Pt
0.500 0.500 0.000 Pt
```

=====

No. 2
# Sr3Li2OsO6
Simulated PXRD pattern, Cu Kα X-rays. Input: a DFT-relaxed cell (PBE, Alexandria).

Principal peaks in the range 2θ from 5° to 70°, by angle:
hkl  2theta  Rel. int.
0 0 1  13.83  88.4
1 0 0  17.89  86.2
1 1 0  31.25  100.0
0 1 2  33.31  80.7
1 1 1  34.32  37.3
2 0 1  38.96  18.6
1 1 2  42.35  42.6
2 0 2  46.32  64.3
3 0 0  55.62  20.1
1 2 2  56.94  45.6
0 1 4  60.79  21.5
2 2 0  65.19  19.1

Atomic structure:
```
Sr3Li2OsO6
1.0
5.724 0.000 0.000
-2.862 4.957 0.000
0.000 0.000 6.404
Sr Li Os O
3 2 1 6
Direct
0.000 0.000 0.000 Sr
0.333 0.667 0.622 Sr
0.667 0.333 0.378 Sr
0.333 0.667 0.197 Li
0.667 0.333 0.803 Li
0.000 0.000 0.500 Os
0.163 0.326 0.313 O
0.163 0.837 0.313 O
0.326 0.163 0.687 O
0.674 0.837 0.313 O
0.837 0.163 0.687 O
0.837 0.674 0.687 O
```

=====

No. 3
# MnRhCl6
Simulated PXRD pattern, Cu Kα X-rays. Input: a DFT-relaxed cell (PBE, Alexandria).

Principal peaks in the range 2θ from 5° to 70°, by angle:
hkl  2theta  Rel. int.
1 1 0  15.52  100.0
2 0 -1  30.88  10.6
1 3 1  31.05  14.9
2 0 -2  40.62  11.9
1 3 2  40.86  8.7
3 1 0  41.86  5.3
2 2 -2  43.67  5.1
0 4 2  43.85  5.0
3 3 0  47.79  10.9
3 1 -2  52.09  4.9
1 5 2  52.41  5.0
3 5 0  58.26  7.4

Atomic structure:
```
MnRhCl6
1.0
6.591 0.000 0.000
0.000 11.424 0.000
-0.057 0.000 5.976
Mn Rh Cl
2 2 12
Direct
0.000 0.000 0.000 Mn
0.500 0.500 0.000 Mn
0.000 0.000 0.500 Rh
0.500 0.500 0.500 Rh
0.140 0.140 0.747 Cl
0.140 0.860 0.747 Cl
0.219 0.500 0.742 Cl
0.281 0.000 0.258 Cl
0.360 0.360 0.253 Cl
0.360 0.640 0.253 Cl
0.640 0.360 0.747 Cl
0.640 0.640 0.747 Cl
0.719 0.000 0.742 Cl
0.781 0.500 0.258 Cl
0.860 0.140 0.253 Cl
0.860 0.860 0.253 Cl
```